The following is a computed powder diffraction line list of RbLi2TmI6. It was derived from DFT lattice parameters and positions (GGA-PBE), using Cu Kα (weighted mean of Kα1 and Kα2).
Intensities are scaled so that the largest is 100.

Peak list (12 most intense, 2θ = 10–90°, by angle)
| 2θ (°) | I (rel.) |
| --- | --- |
| 13.5 | 22.0 |
| 15.3 | 22.1 |
| 20.8 | 20.7 |
| 24.5 | 18.3 |
| 25.6 | 100.0 |
| 27.2 | 26.5 |
| 33.2 | 11.6 |
| 33.4 | 51.4 |
| 38.4 | 11.9 |
| 39.4 | 28.8 |
| 43.8 | 25.9 |
| 47.6 | 14.7 |

```
RbLi2TmI6
1.0
7.918 0.000 0.000
-3.952 6.865 0.000
-3.956 -2.280 7.279
Rb Li Tm I
1 2 1 6
Direct
0.000 0.000 0.000
0.579 0.290 0.868
0.596 0.798 0.396
0.961 0.481 0.441
0.108 0.471 0.175
0.111 0.225 0.648
0.423 0.885 0.648
0.539 0.068 0.175
0.704 0.637 0.175
0.763 0.538 0.648
```